Structure and theoretical powder diffractogram of RbGaO2 (a crystal structure in Alexandria, relaxed with PBE; λ = 1.5418 Å (Cu Kα)).
Intensities are scaled so that the largest is 100.

Main lines, low angle first (2θ = 10–90°):
2theta, intensity, (hkl)
27.3, 63, 0 0 4
28.0, 100, 2 2 0
29.2, 31, 1 1 -4
31.1, 83, 3 1 -1
31.5, 56, 1 3 -1
32.3, 32, 1 1 4
36.8, 91, 2 2 3
37.0, 92, 2 2 -4
57.3, 50, 4 4 -1
64.7, 37, 0 4 7

Atomic structure:
a = 9.095 Å, b = 9.096 Å, c = 13.237 Å
α = 90.00°, β = 99.57°, γ = 90.00°
Space group C2/c (No. 15)
Asymmetric unit:
1 Rb 0.032 0.189 0.384 (multiplicity 8)
2 Rb 0.213 0.439 0.095 (multiplicity 8)
3 Ga 0.103 0.188 0.666 (multiplicity 8)
4 Ga 0.144 0.434 0.832 (multiplicity 8)
5 O 0.000 0.073 0.750 (multiplicity 4)
6 O 0.000 0.450 0.250 (multiplicity 4)
7 O 0.041 0.311 0.916 (multiplicity 8)
8 O 0.211 0.061 0.592 (multiplicity 8)
9 O 0.238 0.311 0.749 (multiplicity 8)